Diffraction record for Ac4PmSe5. The powder X-ray diffraction pattern is calculated, not measured: it uses a PBE-relaxed structure and Cu Kα (λ = 1.5418 Å).

Top 8 peaks for 10° ≤ 2θ ≤ 80°, in order of falling intensity:
- 28.61 deg, 3.120 Å, I = 100.0
- 40.90 deg, 2.206 Å, I = 75.7
- 24.71 deg, 3.603 Å, I = 36.7
- 50.64 deg, 1.803 Å, I = 20.9
- 74.44 deg, 1.274 Å, I = 19.7
- 67.02 deg, 1.396 Å, I = 18.2
- 67.13 deg, 1.394 Å, I = 15.6
- 48.36 deg, 1.882 Å, I = 14.6

Atomic structure:
```
10
Lattice="2.208 1.275 17.982 -2.208 1.275 17.982 0.000 -2.550 17.982" Properties=species:S:1:pos:R:3 pbc="T T T"
Ac 0.000 0.000 5.546
Ac 0.000 0.000 16.136
Ac 0.000 0.000 37.810
Ac 0.000 0.000 48.399
Pm 0.000 0.000 26.973
Se 0.000 0.000 0.000
Se 0.000 0.000 10.592
Se 0.000 0.000 21.682
Se 0.000 0.000 32.263
Se 0.000 0.000 43.353
```